Record 1
For TbCe4Te6, the PBE geometry in Alexandria gives the theoretical X-ray powder pattern in this record (copper Kα).
Intensities are scaled so that the largest is 100.

```
data_TbCe4Te6
_symmetry_space_group_name_H-M 'R -3 c'
_symmetry_Int_Tables_number 167
_symmetry_space_group_name_Hall '-R 3 2"c'
_cell_length_a 12.7011
_cell_length_b 12.7011
_cell_length_c 15.1269
_cell_angle_alpha 90.00
_cell_angle_beta 90.00
_cell_angle_gamma 120.00
loop_
_atom_site_label
_atom_site_fract_x
_atom_site_fract_y
_atom_site_fract_z
_atom_site_occupancy
Tb1 0.0000 0.0000 0.0000 1
Ce1 0.0000 0.0000 0.2500 1
Ce2 0.0000 0.3910 0.2500 1
Te1 0.0323 0.2074 0.3844 1
```

Most intense lines, 2θ = 15–90°, low angle first:
d_spacing	I/Imax
3.667	28
3.116	53
2.991	100
2.829	28
2.797	90
2.687	88
2.446	29
2.400	38
2.099	34
1.763	25
1.539	23
1.451	31


Record 2
For BaTh2F11, the PBE geometry in Alexandria gives the theoretical X-ray powder pattern in this record (copper Kα).
Intensities are scaled so that the largest is 100.

```
data_BaTh2F11
_symmetry_space_group_name_H-M 'I b a m'
_symmetry_Int_Tables_number 72
_symmetry_space_group_name_Hall '-I 2 2c'
_cell_length_a 8.750
_cell_length_b 11.238
_cell_length_c 12.261
_cell_angle_alpha 90.00
_cell_angle_beta 90.00
_cell_angle_gamma 90.00
loop_
_atom_site_label
_atom_site_fract_x
_atom_site_fract_y
_atom_site_fract_z
_atom_site_occupancy
Ba1 0.000 0.000 0.250 1
Th1 0.139 0.319 0.000 1
F1 0.000 0.500 0.000 1
F2 0.101 0.185 0.132 1
F3 0.127 0.282 0.500 1
F4 0.238 0.077 0.372 1
```

Most intense lines, 2θ = 15–90°, low angle first:
d_spacing	I/Imax
4.584	75
4.412	63
4.142	69
3.869	100
3.445	32
3.065	20
2.886	28
2.290	44
2.238	24
2.155	38
2.060	18
2.051	19